Theoretical X-ray diffraction stick pattern
Compound: CuTeO3
Radiation: Cu Kα X-rays
Structure: DFT lattice parameters and positions (PBE)
No peak broadening, texture or thermal motion is included.

Top 12 peaks for 2θ = 15–90°, low angle first:
- (1 1 0), 23.38°, d = 3.805 Å, I = 100
- (1 1 -2), 25.53°, d = 3.489 Å, I = 90
- (1 2 0), 28.70°, d = 3.111 Å, I = 55
- (1 2 -2), 30.53°, d = 2.928 Å, I = 46
- (0 1 2), 31.51°, d = 2.839 Å, I = 36
- (0 3 1), 32.40°, d = 2.763 Å, I = 40
- (2 0 -2), 34.08°, d = 2.631 Å, I = 35
- (1 1 1), 34.37°, d = 2.609 Å, I = 26
- (1 3 -2), 37.47°, d = 2.400 Å, I = 30
- (2 1 0), 44.57°, d = 2.033 Å, I = 23
- (2 4 -2), 52.34°, d = 1.748 Å, I = 21
- (1 5 -3), 62.09°, d = 1.495 Å, I = 29

Structure:
```
CuTeO3
1.0
5.2905 0.0000 0.0000
0.0000 9.3562 0.0000
-4.6668 0.0000 5.9593
Cu Te O
4 4 12
Direct
0.1216 0.0157 0.3600
0.1216 0.4843 0.8600
0.8784 0.5157 0.1400
0.8784 0.9843 0.6400
0.3369 0.7103 0.5897
0.3369 0.7897 0.0897
0.6631 0.2103 0.9103
0.6631 0.2897 0.4103
0.0806 0.1378 0.1415
0.0806 0.3622 0.6415
0.1783 0.6026 0.0966
0.1783 0.8974 0.5966
0.3430 0.6492 0.8504
0.3430 0.8508 0.3504
0.6570 0.1492 0.6496
0.6570 0.3508 0.1496
0.8217 0.1026 0.4034
0.8217 0.3974 0.9034
0.9194 0.6378 0.3585
0.9194 0.8622 0.8585
```